Computed powder XRD pattern of K2CrHO4 for λ = 1.5418 Å (Cu Kα), from a GGA+U-relaxed structure.

Principal peaks in the range 15° ≤ 2θ ≤ 90°, in order of rising 2θ:
- hkl 0 1 0, 2θ = 17.94°, rel. 68.0
- hkl 1 -1 0, 2θ = 20.60°, rel. 24.6
- hkl 1 0 0, 2θ = 21.16°, rel. 28.7
- hkl 1 0 -1, 2θ = 21.45°, rel. 27.7
- hkl -1 1 1, 2θ = 27.15°, rel. 16.7
- hkl 1 1 -1, 2θ = 29.03°, rel. 36.7
- hkl 0 1 -2, 2θ = 30.40°, rel. 100.0
- hkl 1 -2 1, 2θ = 32.41°, rel. 22.9
- hkl 1 -2 0, 2θ = 32.62°, rel. 18.2
- hkl 0 0 3, 2θ = 53.11°, rel. 17.2

Crystal structure
Unit cell a=4.833 b=5.969 c=6.038 alpha=111.55 beta=102.67 gamma=109.44
Space group P1 (No. 1)
Symmetry-distinct sites (fractional):
K 0.000 0.000 0.000 [1 per cell]
K 0.334 0.352 0.694 [1 per cell]
Cr 0.455 0.826 0.355 [1 per cell]
H 0.730 0.580 0.350 [1 per cell]
O 0.085 0.777 0.357 [1 per cell]
O 0.457 0.830 0.076 [1 per cell]
O 0.509 0.530 0.351 [1 per cell]
O 0.726 0.107 0.634 [1 per cell]